Record 1
Computed powder diffractogram
Compound: Sb2Cl7F3
Radiation: CuKα
Structure: a DFT-relaxed cell (GGA-PBE, the Materials Project)

Largest 10 diffraction maxima, in order of rising 2θ, 10° ≤ 2θ ≤ 90°:
Position (°2θ), Rel. int., hkl
12.9, 100, 1 1 -1
18.4, 40, 1 1 1
18.6, 42, 0 0 2
20.9, 29, 4 0 -3
22.2, 24, 0 2 0
26.3, 39, 5 1 -3
29.6, 12, 2 0 2
34.3, 16, 1 3 0
41.6, 19, 5 3 -3
45.3, 16, 0 4 0

Atomic structure:
Cell: 19.0339 8.0022 13.4439 Å, 90.00 134.85 90.00°
Space group C2 (No. 5)
One atom of each set of equivalent atoms:
Sb (0.0469, 0.0000, 0.2662) [4 per cell]
Sb (0.2170, 0.0051, 0.1704) [4 per cell]
Cl (0.0330, 0.7108, 0.2351) [4 per cell]
Cl (0.0466, 0.2853, 0.2304) [4 per cell]
Cl (0.0571, 0.0259, 0.7001) [4 per cell]
Cl (0.1453, 0.5154, 0.5882) [4 per cell]
Cl (0.1870, 0.2920, 0.1407) [4 per cell]
Cl (0.1999, 0.9965, 0.4985) [4 per cell]
Cl (0.2034, 0.4845, 0.9028) [4 per cell]
F (0.0798, 0.9900, 0.9604) [4 per cell]
F (0.1211, 0.9889, 0.1983) [4 per cell]
F (0.2025, 0.7681, 0.1675) [4 per cell]


Record 2
Computed powder diffractogram
Compound: Sb4Cl13F7
Radiation: CuKα
Structure: a DFT-relaxed cell (GGA-PBE, the Materials Project)

Largest 10 diffraction maxima, in order of rising 2θ, 10° ≤ 2θ ≤ 90°:
Position (°2θ), Rel. int., hkl
13.1, 100, 1 1 1
18.6, 40, 1 1 -1
18.6, 39, 0 0 2
20.9, 27, 0 2 1
22.6, 24, 2 1 1
26.4, 20, 1 1 -2
26.5, 26, 1 3 1
29.7, 18, 0 1 -3
34.9, 15, 3 1 1
39.0, 16, 0 4 1

Atomic structure:
Cell: 7.8542 10.2799 10.2807 Å, 81.86 67.77 67.75°
Space group P1 (No. 1)
One atom of each set of equivalent atoms:
Sb (0.0000, 0.0000, 0.0000) [1 per cell]
Sb (0.0924, 0.4727, 0.3412) [1 per cell]
Sb (0.2683, 0.5640, 0.9035) [1 per cell]
Sb (0.8306, 0.9076, 0.4345) [1 per cell]
Cl (0.0917, 0.0340, 0.7587) [1 per cell]
Cl (0.2609, 0.2401, 0.2697) [1 per cell]
Cl (0.3501, 0.6386, 0.6716) [1 per cell]
Cl (0.3807, 0.3222, 0.8711) [1 per cell]
Cl (0.5434, 0.5689, 0.9358) [1 per cell]
Cl (0.5709, 0.8760, 0.4031) [1 per cell]
Cl (0.6827, 0.1492, 0.4683) [1 per cell]
Cl (0.7072, 0.9691, 0.0323) [1 per cell]
Cl (0.7699, 0.8351, 0.6667) [1 per cell]
Cl (0.7974, 0.5059, 0.3137) [1 per cell]
Cl (0.8649, 0.2321, 0.0746) [1 per cell]
Cl (0.9422, 0.5985, 0.9415) [1 per cell]
Cl (0.9773, 0.4404, 0.5835) [1 per cell]
F (0.0865, 0.9036, 0.4096) [1 per cell]
F (0.1371, 0.7809, 0.9732) [1 per cell]
F (0.1786, 0.5375, 0.1319) [1 per cell]
F (0.2501, 0.9758, 0.0046) [1 per cell]
F (0.3224, 0.4978, 0.3375) [1 per cell]
F (0.9441, 0.9347, 0.2133) [1 per cell]
F (0.9867, 0.6956, 0.3688) [1 per cell]


Record 3
Computed powder diffractogram
Compound: Sb8Cl27F13
Radiation: CuKα
Structure: a DFT-relaxed cell (GGA-PBE, the Materials Project)

Largest 10 diffraction maxima, in order of rising 2θ, 10° ≤ 2θ ≤ 90°:
Position (°2θ), Rel. int., hkl
11.1, 68, 1 1 1
11.9, 55, 1 0 -1
12.7, 54, 1 1 -1
17.0, 61, 1 1 3
17.6, 40, 1 -1 1
18.5, 100, 2 1 0
20.0, 72, 0 2 0
20.4, 35, 0 0 4
22.1, 58, 0 1 4
22.5, 48, 1 -1 3

Atomic structure:
Cell: 9.7659 9.9049 17.7253 Å, 82.20 80.37 64.19°
Space group P1 (No. 1)
One atom of each set of equivalent atoms:
Sb (0.0000, 0.0000, 0.0000) [1 per cell]
Sb (0.0184, 0.9863, 0.2318) [1 per cell]
Sb (0.3087, 0.5028, 0.0548) [1 per cell]
Sb (0.3588, 0.4842, 0.3360) [1 per cell]
Sb (0.4985, 0.9506, 0.4940) [1 per cell]
Sb (0.5499, 0.0213, 0.7414) [1 per cell]
Sb (0.8089, 0.4841, 0.8413) [1 per cell]
Sb (0.8460, 0.5145, 0.5411) [1 per cell]
Cl (0.0326, 0.5246, 0.8108) [1 per cell]
Cl (0.1070, 0.4375, 0.0555) [1 per cell]
Cl (0.1192, 0.9028, 0.5383) [1 per cell]
Cl (0.2305, 0.0455, 0.2154) [1 per cell]
Cl (0.2364, 0.6871, 0.5130) [1 per cell]
Cl (0.3060, 0.0331, 0.7339) [1 per cell]
Cl (0.3669, 0.6858, 0.8322) [1 per cell]
Cl (0.3863, 0.3154, 0.6719) [1 per cell]
Cl (0.4037, 0.4753, 0.8718) [1 per cell]
Cl (0.4331, 0.2562, 0.2775) [1 per cell]
Cl (0.4659, 0.8763, 0.3807) [1 per cell]
Cl (0.4745, 0.1221, 0.8617) [1 per cell]
Cl (0.4866, 0.3604, 0.4487) [1 per cell]
Cl (0.4876, 0.4542, 0.6648) [1 per cell]
Cl (0.4897, 0.2526, 0.0532) [1 per cell]
Cl (0.5546, 0.5495, 0.2699) [1 per cell]
Cl (0.6598, 0.7868, 0.0003) [1 per cell]
Cl (0.7354, 0.8354, 0.0879) [1 per cell]
Cl (0.8169, 0.9032, 0.2330) [1 per cell]
Cl (0.8665, 0.2175, 0.1640) [1 per cell]
Cl (0.8738, 0.3186, 0.9626) [1 per cell]
Cl (0.8778, 0.2599, 0.5632) [1 per cell]
Cl (0.8781, 0.2816, 0.7672) [1 per cell]
Cl (0.9154, 0.6001, 0.3067) [1 per cell]
Cl (0.9197, 0.0731, 0.3555) [1 per cell]
Cl (0.9573, 0.9293, 0.8866) [1 per cell]
Cl (0.9618, 0.3904, 0.3564) [1 per cell]
F (0.0539, 0.4657, 0.5579) [1 per cell]
F (0.0934, 0.9005, 0.1270) [1 per cell]
F (0.1425, 0.7873, 0.2747) [1 per cell]
F (0.1803, 0.6988, 0.0088) [1 per cell]
F (0.1962, 0.9952, 0.9578) [1 per cell]
F (0.2748, 0.5528, 0.1567) [1 per cell]
F (0.4715, 0.5635, 0.0243) [1 per cell]
F (0.5100, 0.7673, 0.5548) [1 per cell]
F (0.6040, 0.9707, 0.6367) [1 per cell]
F (0.6471, 0.8179, 0.7812) [1 per cell]
F (0.7203, 0.8643, 0.4759) [1 per cell]
F (0.7225, 0.0669, 0.7275) [1 per cell]
F (0.7670, 0.5636, 0.6476) [1 per cell]


Record 4
Computed powder diffractogram
Compound: SbClF8
Radiation: CuKα
Structure: a DFT-relaxed cell (GGA-PBE, the Materials Project)

Largest 10 diffraction maxima, in order of rising 2θ, 10° ≤ 2θ ≤ 90°:
Position (°2θ), Rel. int., hkl
15.4, 46, 0 1 0
16.4, 36, 1 0 0
16.7, 45, 0 0 2
21.9, 77, 1 1 0
22.8, 100, 0 1 2
22.9, 53, 1 0 2
23.1, 46, 1 -1 0
24.0, 44, 1 0 -2
28.1, 16, 1 -1 2
49.5, 16, 1 -2 4

Atomic structure:
Cell: 5.4331 5.7777 10.6374 Å, 89.97 87.22 87.03°
Space group P-1 (No. 2)
One atom of each set of equivalent atoms:
Sb (0.0000, 0.0000, 0.0000) [1 per cell]
Sb (0.0000, 0.0000, 0.5000) [1 per cell]
Cl (0.4053, 0.6169, 0.2531) [2 per cell]
F (0.1113, 0.2668, 0.0799) [2 per cell]
F (0.1363, 0.1888, 0.3707) [2 per cell]
F (0.1402, 0.7992, 0.1317) [2 per cell]
F (0.1767, 0.7220, 0.4253) [2 per cell]
F (0.2721, 0.0511, 0.6006) [2 per cell]
F (0.3000, 0.9714, 0.9000) [2 per cell]
F (0.4195, 0.5200, 0.6504) [2 per cell]
F (0.4334, 0.4634, 0.8721) [2 per cell]